For Sm2WO6, a cell relaxed with GGA+U gives the calculated powder diffraction line list in this record (Cu Ka).

Atomic structure:
```
data_Sm2WO6
_chemical_formula_sum 'Sm8 W4 O24'
_cell_length_a 7.8478
_cell_length_b 5.5085
_cell_length_c 11.6931
_cell_angle_alpha 90.00
_cell_angle_beta 104.00
_cell_angle_gamma 90.00
_symmetry_space_group_name_H-M 'P 1 2/c 1'
_symmetry_Int_Tables_number 13
loop_
_symmetry_equiv_pos_as_xyz
'x,y,z'
'-x,-y,-z'
'-x,y,-z+1/2'
'x,-y,z+1/2'
loop_
_atom_site_label
_atom_site_type_symbol
_atom_site_fract_x
_atom_site_fract_y
_atom_site_fract_z
_atom_site_occupancy
Sm1 Sm 0.0000 0.1828 0.2500 1
Sm2 Sm 0.2943 0.3121 0.9236 1
Sm3 Sm 0.5000 0.2387 0.2500 1
W1 W 0.2241 0.2460 0.6153 1
O1 O 0.0053 0.1396 0.8865 1
O2 O 0.1376 0.3461 0.4553 1
O3 O 0.2091 0.4859 0.2264 1
O4 O 0.2864 0.0436 0.7694 1
O5 O 0.3490 0.0235 0.0702 1
O6 O 0.4367 0.4548 0.6046 1
```

Main lines, low angle first (2θ from 10° to 90°):
- d 3.186, rel. 98, hkl 2 1 -1
- d 3.118, rel. 100, hkl 0 1 3
- d 2.858, rel. 19, hkl 2 0 2
- d 2.754, rel. 24, hkl 0 2 0
- d 2.595, rel. 20, hkl 2 0 -4
- d 1.889, rel. 34, hkl 2 2 -4